This entry pairs a crystal structure of NaCo2WO6 with its simulated PXRD pattern. Radiation: Cu Kα (weighted mean of Kα1 and Kα2). Structure: a structure optimized by DFT (GGA+U).

Crystal structure
```
NaCo2WO6
1.0
5.234 0.000 0.000
-2.603 4.548 0.000
-0.031 -3.015 4.658
Na Co W O
1 2 1 6
direct
0.000 0.000 0.000
0.216 0.438 0.648
0.702 0.405 0.106
0.505 0.010 0.515
0.113 0.573 0.345
0.354 0.253 0.826
0.462 0.232 0.344
0.574 0.934 0.830
0.765 0.879 0.341
0.896 0.469 0.828
```

Principal peaks in the range 5 to 70 degrees two-theta, in order of rising 2θ:
2θ/deg  Rel. int.  (hkl)
19.1  29  0 0 1
20.6  100  1 -1 0
23.3  25  1 0 -1
32.3  51  1 0 1
32.4  25  0 1 -2
34.2  49  1 1 -1
34.3  24  2 -1 0
39.4  21  1 1 0
47.7  20  0 2 0
52.5  22  1 1 1
60.0  19  -3 2 1
61.2  16  3 0 -1